Entry 1:
Tb2Ge3Pt9: theoretical XRD peak list (copper Kα), based on the PBE geometry in Alexandria.

Peak list (12 most intense, 5° ≤ 2θ ≤ 70°, most intense first)
(0 2 3), d 2.394, I = 100
(3 3 -1), d 2.266, I = 70
(3 1 2), d 2.382, I = 50
(6 0 -2), d 2.257, I = 32
(5 1 -3), d 2.402, I = 17
(6 2 -5), d 1.646, I = 17
(4 2 -3), d 2.324, I = 14
(6 2 -2), d 1.958, I = 12
(5 1 -1), d 2.513, I = 11
(0 0 6), d 1.508, I = 11
(1 3 0), d 2.560, I = 10
(0 4 0), d 1.964, I = 10

Structural model:
```
data_Tb2Ge3Pt9
_chemical_formula_sum 'Tb8 Ge12 Pt36'
_cell_length_a 13.5397
_cell_length_b 7.8604
_cell_length_c 10.1361
_cell_angle_alpha 90.00
_cell_angle_beta 116.83
_cell_angle_gamma 90.00
_symmetry_space_group_name_H-M 'C 1 2/c 1'
_symmetry_Int_Tables_number 15
loop_
_symmetry_equiv_pos_as_xyz
'x,y,z'
'-x,-y,-z'
'-x,y,-z+1/2'
'x,-y,z+1/2'
'x+1/2,y+1/2,z'
'-x+1/2,-y+1/2,-z'
'-x+1/2,y+1/2,-z+1/2'
'x+1/2,-y+1/2,z+1/2'
loop_
_atom_site_label
_atom_site_fract_x
_atom_site_fract_y
_atom_site_fract_z
Tb1 0.1692 0.0852 0.2512
Ge1 0.0897 0.2286 0.4974
Ge2 0.2500 0.2500 0.0000
Pt1 0.0000 0.3663 0.2500
Pt2 0.0596 0.0819 0.9230
Pt3 0.1050 0.3089 0.7416
Pt4 0.1121 0.4105 0.0758
Pt5 0.2226 0.4181 0.4199
```

Entry 2:
Th2Ge5Pt3: theoretical XRD peak list (copper Kα), based on the PBE geometry in Alexandria.

Peak list (12 most intense, 5° ≤ 2θ ≤ 70°, most intense first)
(1 3 2), d 2.668, I = 100
(1 7 1), d 2.566, I = 65
(0 10 1), d 2.313, I = 42
(2 0 0), d 2.218, I = 42
(1 13 3), d 1.410, I = 21
(1 9 2), d 1.957, I = 21
(0 4 3), d 2.267, I = 20
(0 6 2), d 2.721, I = 17
(0 6 1), d 3.554, I = 16
(2 10 1), d 1.601, I = 15
(2 4 3), d 1.585, I = 13
(1 3 3), d 2.069, I = 13

Structural model:
```
data_Th2Ge5Pt3
_chemical_formula_sum 'Th8 Ge20 Pt12'
_cell_length_a 4.4356
_cell_length_b 24.3820
_cell_length_c 7.3264
_cell_angle_alpha 90.00
_cell_angle_beta 90.00
_cell_angle_gamma 90.00
_symmetry_space_group_name_H-M 'C m c 21'
_symmetry_Int_Tables_number 36
loop_
_symmetry_equiv_pos_as_xyz
'x,y,z'
'-x,-y,z+1/2'
'-x,y,z'
'x,-y,z+1/2'
'x+1/2,y+1/2,z'
'-x+1/2,-y+1/2,z+1/2'
'-x+1/2,y+1/2,z'
'x+1/2,-y+1/2,z+1/2'
loop_
_atom_site_label
_atom_site_fract_x
_atom_site_fract_y
_atom_site_fract_z
Th1 0.0000 0.0212 0.0000
Th2 0.0000 0.3254 0.0056
Ge1 0.0000 0.1031 0.3391
Ge2 0.0000 0.2043 0.8279
Ge3 0.0000 0.2119 0.2358
Ge4 0.0000 0.3804 0.4944
Ge5 0.0000 0.4488 0.1769
Pt1 0.0000 0.1066 0.7128
Pt2 0.0000 0.2765 0.5466
Pt3 0.0000 0.4489 0.8016
```

Entry 3:
ThGe6Pt12: theoretical XRD peak list (copper Kα), based on the PBE geometry in Alexandria.

Peak list (12 most intense, 5° ≤ 2θ ≤ 70°, most intense first)
(1 3 1), d 2.660, I = 100
(0 3 3), d 2.195, I = 81
(1 1 3), d 2.594, I = 59
(5 0 2), d 1.828, I = 51
(0 1 2), d 3.991, I = 33
(3 0 0), d 3.359, I = 28
(3 2 1), d 2.234, I = 27
(2 3 2), d 2.041, I = 24
(0 2 4), d 1.996, I = 23
(3 3 0), d 1.939, I = 20
(2 4 1), d 1.860, I = 17
(0 5 4), d 1.477, I = 16

Structural model:
```
data_ThGe6Pt12
_chemical_formula_sum 'Th3 Ge18 Pt36'
_cell_length_a 11.6343
_cell_length_b 11.6343
_cell_length_c 8.6933
_cell_angle_alpha 90.00
_cell_angle_beta 90.00
_cell_angle_gamma 120.00
_symmetry_space_group_name_H-M 'R -3 m'
_symmetry_Int_Tables_number 166
_symmetry_space_group_name_Hall '-R 3 2"'
loop_
_atom_site_label
_atom_site_fract_x
_atom_site_fract_y
_atom_site_fract_z
Th1 0.0000 0.0000 0.0000
Ge1 0.0569 0.5284 0.2717
Pt1 0.0000 0.3697 0.5000
Pt2 0.0793 0.1585 0.2855
```

Entry 4:
Th2Ge6Pt21: theoretical XRD peak list (copper Kα), based on the PBE geometry in Alexandria.

Peak list (12 most intense, 5° ≤ 2θ ≤ 70°, most intense first)
(3 3 3), d 2.423, I = 100
(4 4 0), d 2.225, I = 36
(5 3 1), d 2.128, I = 31
(6 6 0), d 1.484, I = 28
(4 2 2), d 2.570, I = 25
(4 2 0), d 2.815, I = 20
(6 2 2), d 1.898, I = 16
(5 5 5), d 1.454, I = 15
(6 0 0), d 2.098, I = 12
(9 1 1), d 1.382, I = 8
(6 4 4), d 1.527, I = 7
(8 0 0), d 1.574, I = 6

Structural model:
```
data_Th2Ge6Pt21
_chemical_formula_sum 'Th8 Ge24 Pt84'
_cell_length_a 12.5883
_cell_length_b 12.5883
_cell_length_c 12.5883
_cell_angle_alpha 90.00
_cell_angle_beta 90.00
_cell_angle_gamma 90.00
_symmetry_space_group_name_H-M 'F m -3 m'
_symmetry_Int_Tables_number 225
_symmetry_space_group_name_Hall '-F 4 2 3'
loop_
_atom_site_label
_atom_site_fract_x
_atom_site_fract_y
_atom_site_fract_z
Th1 0.2500 0.2500 0.2500
Ge1 0.0000 0.0000 0.2359
Pt1 0.0000 0.0000 0.5000
Pt2 0.0000 0.1743 0.3257
Pt3 0.1168 0.1168 0.1168
```